No. 1
This entry pairs a crystal structure of Li3V5O10 with its computed powder XRD pattern. Radiation: CuKα. Structure: a crystal structure in the Materials Project, relaxed with GGA+U.

Main lines, in order of falling intensity (2θ from 5° to 70°):
2θ/deg, d/Å, I_rel
18.0, 4.939, 100
42.4, 2.132, 45
35.1, 2.556, 23
43.5, 2.082, 21
62.9, 1.478, 12
61.8, 1.501, 11

Crystal structure
```
Li3V5O10
1.0
2.5454 -7.5256 0.0000
2.5454 7.5256 0.0000
-1.8589 0.0000 9.8776
Li V O
6 10 20
Cartesian
1.1512 6.7528 7.4082
2.0806 5.3130 2.4694
2.0806 2.2747 2.4694
1.1512 -2.2747 7.4082
1.1512 -5.3130 7.4082
2.0806 -6.7528 2.4694
1.2727 3.7628 0.0000
0.3413 2.2707 5.0121
1.3329 0.7133 0.0183
0.4035 -0.7133 4.9571
1.2708 -2.2707 0.0733
0.3432 -3.7628 4.9388
1.9611 2.2707 9.8043
2.8283 0.7133 4.9205
1.8989 -0.7133 9.8593
2.8905 -2.2707 4.8655
0.2296 5.3071 8.8315
-0.5884 0.7318 6.0116
1.3161 3.7586 3.8692
0.3410 -0.7318 1.0728
0.2115 2.2386 8.8465
2.0727 5.3071 5.9849
1.1732 0.8272 3.8478
2.8452 3.7586 1.0696
0.2438 -0.8272 8.7866
2.0908 2.2386 5.9700
1.1410 -2.2386 3.9077
2.9881 0.8272 1.0910
0.3866 -3.7586 8.8080
2.0586 -0.8272 6.0298
1.1591 -5.3071 3.8927
3.0203 -2.2386 1.0312
2.8908 0.7318 8.8048
1.9157 -3.7586 6.0085
3.8202 -0.7318 3.8660
3.0022 -5.3071 1.0461
```


No. 2
This entry pairs a crystal structure of LiV3O4 with its computed powder XRD pattern. Radiation: CuKα. Structure: a crystal structure in the Materials Project, relaxed with GGA+U.

Main lines, in order of falling intensity (2θ from 5° to 70°):
2θ/deg, d/Å, I_rel
42.1, 2.146, 100
41.6, 2.169, 52
60.2, 1.536, 29
61.2, 1.515, 28
17.6, 5.033, 27
36.2, 2.480, 27

Crystal structure
```
LiV3O4
1.0
6.0462 0.0000 0.0000
-3.0199 5.2522 0.0000
-0.0016 -3.4349 5.0334
Li V O
2 6 8
Cartesian
0.0000 0.0000 0.0000
3.0231 0.0000 0.0000
-0.0008 -1.7174 2.5167
-1.5099 2.6261 0.0000
-1.5108 0.9086 2.5167
3.0223 -1.7174 2.5167
1.5132 2.6261 0.0000
1.5124 0.9086 2.5167
1.4477 -2.5436 3.7278
1.4534 -0.8789 1.3185
0.0423 0.0519 3.7225
0.0455 1.7461 1.2986
2.9792 0.0711 3.7348
2.9824 1.7654 1.3109
1.5713 2.6962 3.7150
1.5770 4.3609 1.3056
```


No. 3
This entry pairs a crystal structure of Li3V2O6 with its computed powder XRD pattern. Radiation: CuKα. Structure: a crystal structure in the Materials Project, relaxed with GGA+U.

Main lines, in order of falling intensity (2θ from 5° to 70°):
2θ/deg, d/Å, I_rel
18.5, 4.795, 100
43.6, 2.076, 45
42.3, 2.136, 44
20.5, 4.326, 39
45.1, 2.012, 37
21.5, 4.137, 29

Crystal structure
```
Li3V2O6
1.0
4.9857 0.0000 0.0000
-2.4242 4.4771 0.0000
-1.0406 -1.6091 4.7949
Li V O
3 2 6
Cartesian
0.0000 0.0000 0.0000
-1.2399 1.5256 4.7563
1.3744 -0.0603 4.7568
0.6257 1.5418 2.3195
3.1241 -0.0674 2.4202
-0.8672 1.3229 1.2804
-0.3881 0.1869 3.4742
1.6560 0.2238 1.2189
0.0102 3.0573 3.4566
1.3355 3.0676 1.2852
2.1422 1.2773 3.4923
```


No. 4
This entry pairs a crystal structure of LiV2O5 with its computed powder XRD pattern. Radiation: CuKα. Structure: a crystal structure in the Materials Project, relaxed with GGA+U.

Main lines, in order of falling intensity (2θ from 5° to 70°):
2θ/deg, d/Å, I_rel
15.9, 5.559, 100
27.3, 3.267, 72
30.7, 2.912, 44
25.7, 3.468, 40
31.5, 2.836, 32
28.2, 3.161, 30

Crystal structure
```
LiV2O5
1.0
9.8911 0.0000 0.0000
0.0000 3.6421 0.0000
0.0000 0.0000 11.1186
Li V O
4 8 20
Cartesian
1.7509 0.9105 2.4645
3.1946 2.7316 8.0238
6.6965 0.9105 3.0949
8.1402 2.7316 8.6542
0.6653 0.9105 6.6358
1.2184 2.7316 11.0728
3.7272 0.9105 5.5135
4.2802 2.7316 1.0765
5.6109 0.9105 10.0421
6.1639 2.7316 5.6051
8.6727 0.9105 0.0458
9.2257 2.7316 4.4828
0.1873 2.7316 3.0849
0.5847 2.7316 6.0485
0.7133 0.9105 0.5478
2.1663 2.7316 9.7117
2.3821 0.9105 7.0141
2.5634 2.7316 1.4548
2.7792 0.9105 4.1524
4.2322 2.7316 6.1072
4.3608 0.9105 0.4892
4.7582 0.9105 8.6442
5.1328 2.7316 2.4744
5.5303 2.7316 10.6294
5.6588 0.9105 5.0115
7.1119 2.7316 6.9663
7.3277 0.9105 9.6638
7.5090 2.7316 4.1045
7.7247 0.9105 1.4069
9.1778 2.7316 10.5708
9.3063 0.9105 5.0701
9.7038 0.9105 8.0337
```


No. 5
This entry pairs a crystal structure of LiV3O4 with its computed powder XRD pattern. Radiation: CuKα. Structure: a crystal structure in the Materials Project, relaxed with GGA+U.

Main lines, in order of falling intensity (2θ from 5° to 70°):
2θ/deg, d/Å, I_rel
41.8, 2.159, 100
61.1, 1.518, 55
36.2, 2.483, 52
42.3, 2.134, 49
60.7, 1.526, 28
23.0, 3.864, 26

Crystal structure
```
LiV3O4
1.0
4.2689 0.0000 0.0000
0.0000 4.3216 0.0000
0.0000 0.0000 8.6258
Li V O
2 6 8
Cartesian
0.0000 0.0000 0.0000
2.1344 2.1608 4.3085
0.0000 0.0000 4.3692
0.0000 2.1608 2.1427
0.0000 2.1608 6.4717
2.1344 0.0000 2.2001
2.1344 0.0000 6.4945
2.1344 2.1608 8.6042
0.0000 0.0000 2.3233
0.0000 0.0000 6.4378
0.0000 2.1608 4.3268
0.0000 2.1608 8.6107
2.1344 0.0000 0.0144
2.1344 0.0000 4.3583
2.1344 2.1608 2.0280
2.1344 2.1608 6.5397
```


No. 6
This entry pairs a crystal structure of Li2V3O8 with its computed powder XRD pattern. Radiation: CuKα. Structure: a crystal structure in the Materials Project, relaxed with GGA+U.

Main lines, in order of falling intensity (2θ from 5° to 70°):
2θ/deg, d/Å, I_rel
16.8, 5.279, 100
22.2, 4.004, 84
28.0, 3.190, 39
31.6, 2.831, 22
36.0, 2.495, 21
28.2, 3.165, 12

Crystal structure
```
Li2V3O8
1.0
8.9526 0.0000 0.0000
0.0000 8.9526 0.0000
0.0000 0.0000 5.2792
Li V O
4 6 16
Cartesian
2.1675 2.3088 0.0000
2.3088 6.7851 0.0000
6.6437 2.1675 0.0000
6.7851 6.6437 0.0000
0.0000 0.0000 3.3347
1.2492 5.7255 3.0926
3.2271 1.2492 3.0926
4.4763 4.4763 3.3347
5.7255 7.7034 3.0926
7.7034 3.2271 3.0926
0.0000 0.0000 1.6996
0.0000 4.4763 3.5066
0.8558 7.2343 3.8889
1.4321 5.9084 1.4497
1.7183 0.8558 3.8889
2.7580 5.3321 3.8889
3.0441 1.4321 1.4497
3.6205 2.7580 3.8889
4.4763 0.0000 3.5066
4.4763 4.4763 1.6996
5.3321 6.1946 3.8889
5.9084 7.5204 1.4497
6.1946 3.6205 3.8889
7.2343 8.0968 3.8889
7.5204 3.0441 1.4497
8.0968 1.7183 3.8889
```


No. 7
This entry pairs a crystal structure of LiV2O5 with its computed powder XRD pattern. Radiation: CuKα. Structure: a crystal structure in the Materials Project, relaxed with GGA+U.

Main lines, in order of falling intensity (2θ from 5° to 70°):
2θ/deg, d/Å, I_rel
18.8, 4.727, 100
31.1, 2.874, 67
25.8, 3.455, 61
30.0, 2.976, 33
34.1, 2.632, 27
50.4, 1.811, 22

Crystal structure
```
LiV2O5
1.0
3.6222 0.0000 0.0000
0.0000 11.4892 0.0000
0.0000 0.0000 4.7274
Li V O
2 4 10
Cartesian
0.9055 2.8723 1.0173
2.7166 8.6169 3.7101
0.9055 6.8856 1.8554
0.9055 10.3482 1.8554
2.7166 1.1410 2.8721
2.7166 4.6036 2.8721
0.9055 0.8360 2.2482
0.9055 4.9086 2.2482
0.9055 7.1107 0.2296
0.9055 8.6169 2.5144
0.9055 10.1230 0.2296
2.7166 1.3662 4.4979
2.7166 2.8723 2.2130
2.7166 4.3784 4.4979
2.7166 6.5806 2.4793
2.7166 10.6532 2.4793
```